(1)
This entry pairs a crystal structure of Cs2GaSbCl6 with its calculated powder diffraction line list. Radiation: Cu Kα (λ = 1.5418 Å). Structure: the PBE geometry in Alexandria.
Kinematic intensities with the Lorentz-polarization factor, no thermal factor.

Atomic structure:
a b c (Å): 7.8405 7.8405 7.8405
angles (deg): 60.00 60.00 60.00
Atoms (fractional coordinates):
Cs 0.2500 0.2500 0.2500
Cs 0.7500 0.7500 0.7500
Ga 0.0000 0.0000 0.0000
Sb 0.5000 0.5000 0.5000
Cl 0.2588 0.2588 0.7412
Cl 0.2588 0.7412 0.2588
Cl 0.2588 0.7412 0.7412
Cl 0.7412 0.2588 0.2588
Cl 0.7412 0.2588 0.7412
Cl 0.7412 0.7412 0.2588

Most intense lines, 2θ = 10–90°, by angle:
- 2θ 22.68, intensity 100.0
- 2θ 27.87, intensity 22.7
- 2θ 32.29, intensity 63.3
- 2θ 39.83, intensity 46.5
- 2θ 46.32, intensity 43.4
- 2θ 62.70, intensity 25.1

=====

(2)
This entry pairs a crystal structure of CsGaSnCl6 with its calculated powder diffraction line list. Radiation: Cu Kα (λ = 1.5418 Å). Structure: the PBE geometry in Alexandria.
Kinematic intensities with the Lorentz-polarization factor, no thermal factor.

Atomic structure:
a b c (Å): 7.0354 7.0354 7.5201
angles (deg): 90.00 90.00 120.00
Atoms (fractional coordinates):
Cs 0.0000 0.0000 0.0000
Ga 0.3333 0.6667 0.5000
Sn 0.6667 0.3333 0.5000
Cl 0.0488 0.3967 0.3119
Cl 0.0488 0.6521 0.6881
Cl 0.3479 0.3967 0.6881
Cl 0.3479 0.9512 0.3119
Cl 0.6033 0.6521 0.3119
Cl 0.6033 0.9512 0.6881

Most intense lines, 2θ = 10–90°, by angle:
- 2θ 11.77, intensity 19.3
- 2θ 18.74, intensity 100.0
- 2θ 25.32, intensity 21.7
- 2θ 31.69, intensity 21.6
- 2θ 34.93, intensity 59.7
- 2θ 40.99, intensity 28.7

=====

(3)
This entry pairs a crystal structure of CsTaGa2Cl8 with its calculated powder diffraction line list. Radiation: Cu Kα (λ = 1.5418 Å). Structure: the PBE geometry in Alexandria.
Kinematic intensities with the Lorentz-polarization factor, no thermal factor.

Atomic structure:
a b c (Å): 6.7457 7.4115 9.2161
angles (deg): 111.83 91.90 90.06
Atoms (fractional coordinates):
Cs 0.0000 0.0000 0.0000
Ta 0.0000 0.0000 0.5000
Ga 0.4924 0.6202 0.2235
Ga 0.5076 0.3798 0.7765
Cl 0.0546 0.2754 0.7405
Cl 0.1903 0.8041 0.6017
Cl 0.2869 0.0848 0.3990
Cl 0.4713 0.7338 0.9886
Cl 0.5287 0.2662 0.0114
Cl 0.7131 0.9152 0.6010
Cl 0.8097 0.1959 0.3983
Cl 0.9454 0.7246 0.2595

Most intense lines, 2θ = 10–90°, by angle:
- 2θ 12.87, intensity 86.4
- 2θ 13.17, intensity 100.0
- 2θ 18.29, intensity 76.6
- 2θ 18.56, intensity 93.3
- 2θ 26.46, intensity 56.9
- 2θ 28.39, intensity 55.9

=====

(4)
This entry pairs a crystal structure of Cs2TlGaCl5 with its calculated powder diffraction line list. Radiation: Cu Kα (λ = 1.5418 Å). Structure: the PBE geometry in Alexandria.
Kinematic intensities with the Lorentz-polarization factor, no thermal factor.

Atomic structure:
a b c (Å): 7.4876 7.4876 7.4876
angles (deg): 116.16 116.16 96.79
Atoms (fractional coordinates):
Cs 0.0000 0.5000 0.5000
Cs 0.5000 0.0000 0.5000
Tl 0.2067 0.2067 0.0000
Ga 0.7388 0.7388 0.0000
Cl 0.5009 0.5009 0.0000
Cl 0.5310 0.5310 0.5423
Cl 0.5310 0.9887 0.0000
Cl 0.9887 0.5310 0.0000
Cl 0.9887 0.9887 0.4577

Most intense lines, 2θ = 10–90°, by angle:
- 2θ 22.46, intensity 45.0
- 2θ 23.94, intensity 100.0
- 2θ 31.97, intensity 51.2
- 2θ 40.33, intensity 49.4
- 2θ 45.84, intensity 17.6
- 2θ 49.01, intensity 22.3

=====

(5)
This entry pairs a crystal structure of CsV2GaCl8 with its calculated powder diffraction line list. Radiation: Cu Kα (λ = 1.5418 Å). Structure: the PBE geometry in Alexandria.
Kinematic intensities with the Lorentz-polarization factor, no thermal factor.

Atomic structure:
a b c (Å): 10.6330 10.6330 10.6330
angles (deg): 37.39 37.39 37.39
Atoms (fractional coordinates):
Cs 0.0000 0.0000 0.0000
V 0.2504 0.2504 0.2504
V 0.7496 0.7496 0.7496
Ga 0.5000 0.5000 0.5000
Cl 0.0735 0.4487 0.7949
Cl 0.2051 0.9265 0.5513
Cl 0.3257 0.3257 0.3257
Cl 0.4487 0.7949 0.0735
Cl 0.5513 0.2051 0.9265
Cl 0.6743 0.6743 0.6743
Cl 0.7949 0.0735 0.4487
Cl 0.9265 0.5513 0.2051

Most intense lines, 2θ = 10–90°, by angle:
- 2θ 19.22, intensity 100.0
- 2θ 26.14, intensity 41.9
- 2θ 27.69, intensity 58.2
- 2θ 31.90, intensity 51.8
- 2θ 45.35, intensity 41.3
- 2θ 46.13, intensity 36.3

=====

(6)
This entry pairs a crystal structure of CsIn2GeCl5 with its calculated powder diffraction line list. Radiation: Cu Kα (λ = 1.5418 Å). Structure: the PBE geometry in Alexandria.
Kinematic intensities with the Lorentz-polarization factor, no thermal factor.

Atomic structure:
a b c (Å): 9.9605 9.9605 9.9605
angles (deg): 127.68 127.68 77.15
Atoms (fractional coordinates):
Cs 0.2500 0.2500 0.0000
Cs 0.7500 0.7500 0.0000
In 0.1830 0.6830 0.8659
In 0.3170 0.1830 0.5000
In 0.6830 0.8170 0.5000
In 0.8170 0.3170 0.1341
Ge 0.2500 0.7500 0.5000
Ge 0.7500 0.2500 0.5000
Cl 0.0000 0.0000 0.0000
Cl 0.0114 0.1948 0.5000
Cl 0.1948 0.6948 0.1834
Cl 0.3052 0.4886 0.5000
Cl 0.4886 0.9886 0.1834
Cl 0.5000 0.5000 0.0000
Cl 0.5114 0.0114 0.8166
Cl 0.6948 0.5114 0.5000
Cl 0.8052 0.3052 0.8166
Cl 0.9886 0.8052 0.5000

Most intense lines, 2θ = 10–90°, by angle:
- 2θ 22.84, intensity 33.6
- 2θ 23.25, intensity 100.0
- 2θ 28.50, intensity 89.8
- 2θ 28.75, intensity 42.9
- 2θ 37.03, intensity 33.2
- 2θ 40.36, intensity 33.5

=====

(7)
This entry pairs a crystal structure of Cs2InGeCl6 with its calculated powder diffraction line list. Radiation: Cu Kα (λ = 1.5418 Å). Structure: the PBE geometry in Alexandria.
Kinematic intensities with the Lorentz-polarization factor, no thermal factor.

Atomic structure:
a b c (Å): 7.6413 7.6413 7.6413
angles (deg): 119.89 119.89 90.19
Atoms (fractional coordinates):
Cs 0.2500 0.7500 0.5000
Cs 0.7500 0.2500 0.5000
In 0.0000 0.0000 0.0000
Ge 0.5000 0.5000 0.0000
Cl 0.2542 0.2542 0.0000
Cl 0.2545 0.2545 0.5089
Cl 0.2545 0.7455 0.0000
Cl 0.7455 0.2545 0.0000
Cl 0.7458 0.7458 0.0000
Cl 0.7455 0.7455 0.4911

Most intense lines, 2θ = 10–90°, by angle:
- 2θ 23.27, intensity 100.0
- 2θ 28.60, intensity 23.3
- 2θ 33.10, intensity 42.3
- 2θ 33.22, intensity 21.0
- 2θ 40.89, intensity 46.2
- 2θ 47.57, intensity 43.1

=====

(8)
This entry pairs a crystal structure of CsLiGe2Cl6 with its calculated powder diffraction line list. Radiation: Cu Kα (λ = 1.5418 Å). Structure: the PBE geometry in Alexandria.
Kinematic intensities with the Lorentz-polarization factor, no thermal factor.

Atomic structure:
a b c (Å): 9.3956 9.3956 9.5659
angles (deg): 105.99 105.99 103.95
Atoms (fractional coordinates):
Cs 0.1010 0.8990 0.7500
Cs 0.8990 0.1010 0.2500
Li 0.2175 0.7825 0.2500
Li 0.7825 0.2175 0.7500
Ge 0.2721 0.4484 0.8247
Ge 0.4484 0.2721 0.3247
Ge 0.5516 0.7279 0.6753
Ge 0.7279 0.5516 0.1753
Cl 0.0153 0.2390 0.6769
Cl 0.1798 0.6188 0.9844
Cl 0.2390 0.0153 0.1769
Cl 0.3122 0.3543 0.4833
Cl 0.3543 0.3122 0.9833
Cl 0.3812 0.8202 0.5156
Cl 0.6188 0.1798 0.4844
Cl 0.6457 0.6878 0.0167
Cl 0.6878 0.6457 0.5167
Cl 0.7610 0.9847 0.8231
Cl 0.8202 0.3812 0.0156
Cl 0.9847 0.7610 0.3231

Most intense lines, 2θ = 10–90°, by angle:
- 2θ 17.19, intensity 51.6
- 2θ 19.52, intensity 61.7
- 2θ 19.66, intensity 100.0
- 2θ 20.63, intensity 56.4
- 2θ 26.52, intensity 54.2
- 2θ 30.70, intensity 56.3

=====

(9)
This entry pairs a crystal structure of Cs2MgGeCl6 with its calculated powder diffraction line list. Radiation: Cu Kα (λ = 1.5418 Å). Structure: the PBE geometry in Alexandria.
Kinematic intensities with the Lorentz-polarization factor, no thermal factor.

Atomic structure:
a b c (Å): 7.4201 7.4201 7.4201
angles (deg): 60.00 60.00 60.00
Atoms (fractional coordinates):
Cs 0.2500 0.2500 0.2500
Cs 0.7500 0.7500 0.7500
Mg 0.0000 0.0000 0.0000
Ge 0.5000 0.5000 0.5000
Cl 0.2434 0.2434 0.7566
Cl 0.2434 0.7566 0.2434
Cl 0.2434 0.7566 0.7566
Cl 0.7566 0.2434 0.2434
Cl 0.7566 0.2434 0.7566
Cl 0.7566 0.7566 0.2434

Most intense lines, 2θ = 10–90°, by angle:
- 2θ 23.99, intensity 100.0
- 2θ 29.49, intensity 68.6
- 2θ 34.18, intensity 80.2
- 2θ 42.19, intensity 45.5
- 2θ 49.11, intensity 53.5
- 2θ 58.33, intensity 25.2

=====

(10)
This entry pairs a crystal structure of Cs2NiGeCl6 with its calculated powder diffraction line list. Radiation: Cu Kα (λ = 1.5418 Å). Structure: the PBE geometry in Alexandria.
Kinematic intensities with the Lorentz-polarization factor, no thermal factor.

Atomic structure:
a b c (Å): 7.2593 7.2593 7.2593
angles (deg): 120.05 120.05 89.91
Atoms (fractional coordinates):
Cs 0.2500 0.7500 0.5000
Cs 0.7500 0.2500 0.5000
Ni 0.0000 0.0000 0.0000
Ge 0.5000 0.5000 0.0000
Cl 0.2393 0.2393 0.4786
Cl 0.2393 0.7607 0.0000
Cl 0.2396 0.2396 0.0000
Cl 0.7604 0.7604 0.0000
Cl 0.7607 0.2393 0.0000
Cl 0.7607 0.7607 0.5214

Most intense lines, 2θ = 10–90°, by angle:
- 2θ 24.53, intensity 100.0
- 2θ 30.16, intensity 41.5
- 2θ 34.97, intensity 69.2
- 2θ 43.18, intensity 44.3
- 2θ 50.29, intensity 45.7
- 2θ 68.40, intensity 23.4

=====

(11)
This entry pairs a crystal structure of Cs2GeCl6O with its calculated powder diffraction line list. Radiation: Cu Kα (λ = 1.5418 Å). Structure: the PBE geometry in Alexandria.
Kinematic intensities with the Lorentz-polarization factor, no thermal factor.

Atomic structure:
a b c (Å): 7.5637 7.5637 7.5637
angles (deg): 121.90 121.90 86.74
Atoms (fractional coordinates):
Cs 0.2500 0.7500 0.5000
Cs 0.7500 0.2500 0.5000
Ge 0.0000 0.0000 0.0000
Cl 0.2112 0.2112 0.0000
Cl 0.2265 0.2265 0.4531
Cl 0.2265 0.7735 0.0000
Cl 0.7735 0.2265 0.0000
Cl 0.7735 0.7735 0.5469
Cl 0.7888 0.7888 0.0000
O 0.5000 0.5000 0.0000

Most intense lines, 2θ = 10–90°, by angle:
- 2θ 23.56, intensity 100.0
- 2θ 24.23, intensity 44.9
- 2θ 29.24, intensity 95.7
- 2θ 34.54, intensity 67.8
- 2θ 42.23, intensity 39.5
- 2θ 48.20, intensity 44.1

=====

(12)
This entry pairs a crystal structure of Cs2GePbCl6 with its calculated powder diffraction line list. Radiation: Cu Kα (λ = 1.5418 Å). Structure: the PBE geometry in Alexandria.
Kinematic intensities with the Lorentz-polarization factor, no thermal factor.

Atomic structure:
a b c (Å): 7.8205 7.8205 7.8205
angles (deg): 60.00 60.00 60.00
Atoms (fractional coordinates):
Cs 0.2500 0.2500 0.2500
Cs 0.7500 0.7500 0.7500
Ge 0.0000 0.0000 0.0000
Pb 0.5000 0.5000 0.5000
Cl 0.2407 0.2407 0.7593
Cl 0.2407 0.7593 0.2407
Cl 0.2407 0.7593 0.7593
Cl 0.7593 0.2407 0.2407
Cl 0.7593 0.2407 0.7593
Cl 0.7593 0.7593 0.2407

Most intense lines, 2θ = 10–90°, by angle:
- 2θ 22.74, intensity 100.0
- 2θ 32.38, intensity 54.3
- 2θ 39.93, intensity 47.3
- 2θ 46.45, intensity 37.8
- 2θ 52.32, intensity 22.5
- 2θ 62.88, intensity 26.1